# ScSnAuS3
Computed XRD peak list, Cu Kα (weighted mean of Kα1 and Kα2). Input: a PBE-relaxed structure.

Atomic structure:
```
data_ScSnAuS3
_symmetry_space_group_name_H-M 'P n m a'
_symmetry_Int_Tables_number 62
_symmetry_space_group_name_Hall '-P 2ac 2n'
_cell_length_a 10.0571
_cell_length_b 3.8530
_cell_length_c 14.1245
_cell_angle_alpha 90.00
_cell_angle_beta 90.00
_cell_angle_gamma 90.00
loop_
_atom_site_label
_atom_site_fract_x
_atom_site_fract_y
_atom_site_fract_z
Sc1 0.0153 0.2500 0.2434
Sn1 0.2472 0.7500 0.4350
Au1 0.2404 0.2500 0.5952
S1 0.0128 0.2500 0.6321
S2 0.0288 0.7500 0.1207
S3 0.2391 0.7500 0.8024
```

Most intense lines, 10 to 80 degrees two-theta, in order of rising 2θ:
(hkl), d (Å), I/Imax
1 0 2, 5.780, 15
2 0 0, 5.029, 48
2 0 2, 4.096, 32
0 1 3, 2.983, 100
2 1 3, 2.565, 37
4 0 0, 2.514, 30
2 1 5, 2.075, 18
0 2 0, 1.927, 19
4 1 3, 1.922, 44
4 2 0, 1.529, 18

***

# Gd5Bi3
Computed XRD peak list, Cu Kα (weighted mean of Kα1 and Kα2). Input: a PBE-relaxed structure.

Atomic structure:
```
data_Gd5Bi3
_symmetry_space_group_name_H-M 'P n m a'
_symmetry_Int_Tables_number 62
_symmetry_space_group_name_Hall '-P 2ac 2n'
_cell_length_a 8.3136
_cell_length_b 9.6139
_cell_length_c 12.1483
_cell_angle_alpha 90.00
_cell_angle_beta 90.00
_cell_angle_gamma 90.00
loop_
_atom_site_label
_atom_site_fract_x
_atom_site_fract_y
_atom_site_fract_z
Gd1 0.0248 0.2500 0.0118
Gd2 0.1467 0.7500 0.2861
Gd3 0.1860 0.2500 0.2794
Gd4 0.1943 0.0615 0.5579
Bi1 0.0657 0.0047 0.8253
Bi2 0.0901 0.7500 0.5431
```

Most intense lines, 10 to 80 degrees two-theta, in order of rising 2θ:
(hkl), d (Å), I/Imax
2 2 1, 3.043, 67
1 2 3, 2.902, 100
1 0 4, 2.853, 50
2 2 2, 2.792, 72
3 0 1, 2.702, 22
0 2 4, 2.568, 21
0 4 0, 2.404, 40
3 2 2, 2.233, 25
4 0 1, 2.048, 19
4 4 1, 1.559, 34

***

Q: What is the formula in the first record?
A: ScSnAuS3

***

Q: Which formula does entry 2 have?
A: Gd5Bi3